Theoretical X-ray diffraction stick pattern of Li4Mn2Ni5O12 for CuKα, from a crystal structure in Alexandria, relaxed with GGA+U.
Lines closer than 0.1° are merged.

Atomic structure:
a = 4.999 Å, b = 8.836 Å, c = 9.745 Å
α = 90.00°, β = 100.08°, γ = 90.00°
Space group P2_1 (No. 4)
Inequivalent atoms, fractional coordinates:
1 Li 0.002 0.000 0.253
2 Li 0.004 0.661 0.253
3 Li 0.255 0.500 0.500
4 Li 0.497 0.674 0.747
5 Mn 0.249 0.338 0.004
6 Mn 0.251 0.837 0.498
7 Ni 0.005 0.345 0.256
8 Ni 0.251 0.165 0.503
9 Ni 0.251 0.668 0.003
10 Ni 0.255 0.004 0.998
11 Ni 0.490 0.335 0.747
12 O 0.102 0.324 0.620
13 O 0.111 0.685 0.616
14 O 0.114 0.838 0.114
15 O 0.120 0.494 0.116
16 O 0.128 0.995 0.607
17 O 0.130 0.185 0.119
18 O 0.362 0.187 0.886
19 O 0.367 0.491 0.882
20 O 0.369 0.989 0.381
21 O 0.384 0.315 0.393
22 O 0.387 0.830 0.888
23 O 0.389 0.685 0.386

Main lines, low angle first (2θ = 15–90°):
18.5°, rel. 46.1
20.1°, rel. 25.4
21.3°, rel. 21.2
23.9°, rel. 34.1
37.5°, rel. 19.8
37.6°, rel. 27.6
43.6°, rel. 100.0
44.2°, rel. 48.5
63.4°, rel. 26.8
64.2°, rel. 27.0